Starting from the PBE geometry in Alexandria, the powder XRD pattern of Al4Cu3Pd was calculated for Cu Kα X-rays.
No peak broadening, texture or thermal motion is included.

Principal peaks in the range 10° ≤ 2θ ≤ 90°, sorted by position:
hkl 1 0 0, 2θ = 28.64°, d = 3.117 Å, rel. 38; hkl 0 0 4, 2θ = 31.63°, d = 2.829 Å, rel. 14; hkl 1 1 0, 2θ = 40.95°, d = 2.204 Å, rel. 59; hkl 1 0 4, 2θ = 43.19°, d = 2.095 Å, rel. 100; hkl 1 1 4, 2θ = 52.64°, d = 1.739 Å, rel. 13; hkl 2 0 0, 2θ = 59.29°, d = 1.559 Å, rel. 19; hkl 0 0 8, 2θ = 66.06°, d = 1.414 Å, rel. 6; hkl 2 1 4, 2θ = 76.12°, d = 1.250 Å, rel. 35; hkl 1 1 8, 2θ = 80.72°, d = 1.190 Å, rel. 14; hkl 2 2 0, 2θ = 88.78°, d = 1.102 Å, rel. 6

Cell and atoms:
Unit cell a=3.117 b=3.117 c=11.315 alpha=90.00 beta=90.00 gamma=90.00
Fractional positions:
Al (0.000, 0.000, 0.124)
Al (0.000, 0.000, 0.370)
Al (0.000, 0.000, 0.630)
Al (0.000, 0.000, 0.876)
Cu (0.500, 0.500, 0.000)
Cu (0.500, 0.500, 0.243)
Cu (0.500, 0.500, 0.757)
Pd (0.500, 0.500, 0.500)